Zr3PaHg: computed powder X-ray diffraction pattern (Cu Kα X-rays), based on a crystal structure in Alexandria, relaxed with GGA-PBE.
Lines closer than 0.1° are merged.

Cell and atoms:
```
10
Lattice="7.460 0.000 0.000 0.000 3.966 0.000 -0.571 0.000 7.744" Properties=species:S:1:pos:R:3 pbc="T T T"
Zr 0.200 0.991 1.143
Zr 1.428 0.991 5.718
Zr 3.140 0.991 2.735
Zr 3.750 2.974 5.009
Zr 5.462 2.974 2.026
Zr 6.690 2.974 6.601
Pa 2.639 2.974 0.370
Pa 4.251 0.991 7.374
Hg 0.860 2.974 3.439
Hg 6.029 0.991 4.305
```

Main lines, most intense first (2θ from 10° to 90°):
d 2.642, I = 100.0
d 2.519, I = 87.4
d 2.414, I = 38.5
d 2.385, I = 37.3
d 1.983, I = 21.9
d 1.532, I = 18.9
d 1.525, I = 18.6
d 5.178, I = 18.4
d 1.455, I = 15.6
d 1.443, I = 15.5

Ag4TeS2: computed powder X-ray diffraction pattern (Cu Kα X-rays), based on a crystal structure in Alexandria, relaxed with GGA-PBE.
Lines closer than 0.1° are merged.

Cell and atoms:
```
14
Lattice="-3.921 3.921 5.537 3.921 -3.921 5.537 3.921 3.921 -5.537" Properties=species:S:1:pos:R:3 pbc="T T T"
Ag 2.218 1.961 0.177
Ag 5.624 1.961 0.177
Ag 3.921 0.258 2.592
Ag 0.000 0.258 2.945
Ag 3.921 3.664 2.592
Ag 0.000 3.664 2.945
Ag -1.703 1.961 5.360
Ag 1.703 1.961 5.360
Te 3.921 -1.961 4.152
Te 0.000 5.882 1.384
S 3.921 0.000 0.000
S -1.961 1.961 2.768
S 0.000 0.000 5.537
S 1.961 1.961 2.768
```

Main lines, most intense first (2θ from 10° to 90°):
d 3.200, I = 100.0
d 1.960, I = 92.3
d 2.133, I = 56.0
d 2.771, I = 51.5
d 3.919, I = 40.3
d 2.543, I = 32.7
d 1.671, I = 28.3
d 3.342, I = 25.3
d 1.131, I = 18.8
d 1.354, I = 14.9

Ta2CuPt2: computed powder X-ray diffraction pattern (Cu Kα X-rays), based on a crystal structure in Alexandria, relaxed with GGA-PBE.
Lines closer than 0.1° are merged.

Cell and atoms:
```
10
Lattice="2.361 -7.290 0.000 2.361 7.290 0.000 0.000 0.000 4.765" Properties=species:S:1:pos:R:3 pbc="T T T"
Ta 2.361 5.238 2.382
Ta 2.361 2.117 2.376
Ta 2.361 -2.117 4.758
Ta 2.361 -5.238 0.000
Cu 2.361 0.564 4.756
Cu 2.361 -0.564 2.373
Pt 2.361 6.480 0.002
Pt 2.361 3.255 4.754
Pt 2.361 -3.255 2.372
Pt 2.361 -6.480 2.385
```

Main lines, most intense first (2θ from 10° to 90°):
d 2.201, I = 100.0
d 2.382, I = 38.7
d 2.361, I = 37.8
d 1.677, I = 26.7
d 1.338, I = 20.4
d 1.330, I = 20.1
d 2.895, I = 10.8
d 1.458, I = 7.7
d 2.481, I = 6.7
d 3.387, I = 6.1

CrCdPt2: computed powder X-ray diffraction pattern (Cu Kα X-rays), based on a crystal structure in Alexandria, relaxed with GGA-PBE.
Lines closer than 0.1° are merged.

Cell and atoms:
```
4
Lattice="4.122 0.000 0.000 0.000 4.122 0.000 0.000 0.000 3.841" Properties=species:S:1:pos:R:3 pbc="T T T"
Cr 0.000 0.000 0.000
Cd 2.061 2.061 0.000
Pt 0.000 2.061 1.920
Pt 2.061 0.000 1.920
```

Main lines, most intense first (2θ from 10° to 90°):
d 2.322, I = 100.0
d 2.061, I = 35.1
d 1.234, I = 26.3
d 1.405, I = 20.1
d 1.920, I = 14.1
d 2.915, I = 13.8
d 3.841, I = 13.7
d 1.457, I = 11.4
d 1.172, I = 11.3
d 1.161, I = 11.0

Nb4HgSe8: computed powder X-ray diffraction pattern (Cu Kα X-rays), based on a crystal structure in Alexandria, relaxed with GGA-PBE.
Lines closer than 0.1° are merged.

Cell and atoms:
```
13
Lattice="3.479 2.009 8.737 -3.479 2.009 8.737 0.000 -4.017 8.737" Properties=species:S:1:pos:R:3 pbc="T T T"
Nb 0.000 0.000 0.000
Nb -1.739 -1.004 8.737
Nb -1.739 1.004 17.475
Nb 0.000 2.009 8.737
Hg 0.000 0.000 13.106
Se 0.000 -2.007 10.423
Se -1.738 1.004 10.423
Se 0.000 0.000 7.045
Se -1.738 -1.004 15.789
Se 1.738 1.004 10.423
Se 0.000 0.000 19.167
Se 1.738 -1.004 15.789
Se 0.000 2.007 15.789
```

Main lines, most intense first (2θ from 10° to 90°):
d 2.737, I = 100.0
d 8.737, I = 71.1
d 2.218, I = 39.1
d 1.739, I = 28.7
d 2.347, I = 20.7
d 5.873, I = 18.7
d 1.869, I = 17.3
d 5.475, I = 16.0
d 1.468, I = 14.5
d 1.122, I = 12.4

ScHgS2: computed powder X-ray diffraction pattern (Cu Kα X-rays), based on a crystal structure in Alexandria, relaxed with GGA-PBE.
Lines closer than 0.1° are merged.

Cell and atoms:
```
8
Lattice="7.858 0.000 0.000 0.000 3.782 0.000 -1.140 0.000 6.394" Properties=species:S:1:pos:R:3 pbc="T T T"
Sc -0.285 0.865 1.598
Sc -0.855 2.917 4.795
Hg 3.929 0.000 0.000
Hg 3.359 0.000 3.197
S 0.324 1.009 6.121
S 0.894 2.773 2.924
S 5.823 1.009 3.470
S 6.393 2.773 0.273
```

Main lines, most intense first (2θ from 10° to 90°):
d 7.736, I = 100.0
d 3.398, I = 88.5
d 3.868, I = 63.2
d 2.705, I = 61.6
d 3.157, I = 60.5
d 2.204, I = 58.7
d 3.782, I = 58.5
d 3.197, I = 44.6
d 2.424, I = 39.6
d 2.442, I = 34.0

Ag8Pd3Au2: computed powder X-ray diffraction pattern (Cu Kα X-rays), based on a crystal structure in Alexandria, relaxed with GGA-PBE.
Lines closer than 0.1° are merged.

Cell and atoms:
```
13
Lattice="6.419 0.000 0.000 0.000 4.129 0.000 -1.446 0.000 8.890" Properties=species:S:1:pos:R:3 pbc="T T T"
Ag -0.059 0.000 3.193
Ag -0.701 2.065 7.629
Ag 1.188 0.000 7.000
Ag 1.908 2.065 2.541
Ag 3.785 0.000 1.890
Ag 3.065 2.065 6.349
Ag 5.673 2.065 1.261
Ag 5.032 0.000 5.697
Pd 0.547 2.065 5.066
Pd 2.486 0.000 4.445
Pd 4.425 2.065 3.825
Au 1.291 0.000 0.633
Au 3.682 0.000 8.257
```

Main lines, most intense first (2θ from 10° to 90°):
d 2.355, I = 100.0
d 2.342, I = 97.9
d 2.065, I = 33.7
d 2.039, I = 32.0
d 1.999, I = 30.3
d 1.451, I = 20.7
d 1.436, I = 20.1
d 1.239, I = 12.6
d 1.241, I = 12.4
d 1.231, I = 11.9

Er4TmSc2: computed powder X-ray diffraction pattern (Cu Kα X-rays), based on a crystal structure in Alexandria, relaxed with GGA-PBE.
Lines closer than 0.1° are merged.

Cell and atoms:
```
14
Lattice="6.440 0.000 0.000 -2.140 7.598 0.000 -1.434 -0.568 8.279" Properties=species:S:1:pos:R:3 pbc="T T T"
Er 0.000 0.000 0.000
Er -0.744 3.640 0.112
Er 0.777 -0.115 3.940
Er 0.331 4.218 3.693
Er 1.751 0.424 7.272
Er 1.027 4.115 7.364
Er 1.852 6.859 4.943
Er 4.809 1.676 2.541
Tm 0.773 6.582 1.507
Tm 3.554 4.856 2.555
Sc -1.958 5.040 5.964
Sc -0.735 1.948 5.785
Sc 1.754 2.195 1.664
Sc 2.716 2.430 4.913
```

Main lines, most intense first (2θ from 10° to 90°):
d 2.705, I = 100.0
d 2.736, I = 28.1
d 2.844, I = 21.9
d 1.574, I = 15.7
d 1.972, I = 14.6
d 1.614, I = 9.0
d 1.859, I = 8.5
d 1.538, I = 8.5
d 1.556, I = 7.3
d 1.353, I = 6.8